[1]
Starting from a DFT-relaxed cell (GGA-PBE, Alexandria), the X-ray diffraction stick pattern of Pr6CuS5 was simulated for Cu Ka.
Neutral-atom scattering factors, no anomalous dispersion.

Main lines, low angle first (5 to 70 degrees two-theta):
26.46 deg, I 46
26.51 deg, I 15
30.67 deg, I 100
43.92 deg, I 73
52.02 deg, I 30
54.49 deg, I 19
54.60 deg, I 6
63.86 deg, I 12

Structure:
```
data_Pr6CuS5
_symmetry_space_group_name_H-M 'C 1 2/m 1'
_symmetry_Int_Tables_number 12
_cell_length_a 7.1475
_cell_length_b 12.3746
_cell_length_c 7.1331
_cell_angle_alpha 90.00
_cell_angle_beta 109.52
_cell_angle_gamma 90.00
loop_
_symmetry_equiv_pos_as_xyz
'x,y,z'
'-x,-y,-z'
'-x,y,-z'
'x,-y,z'
'x+1/2,y+1/2,z'
'-x+1/2,-y+1/2,-z'
'-x+1/2,y+1/2,-z'
'x+1/2,-y+1/2,z'
loop_
_atom_site_label
_atom_site_fract_x
_atom_site_fract_y
_atom_site_fract_z
_atom_site_occupancy
Pr1 0.2470 0.0000 0.2523 1
Pr2 0.2479 0.1691 0.7481 1
Cu1 0.0000 0.5000 0.0000 1
S1 0.0000 0.0000 0.5000 1
S2 0.0000 0.1658 0.0000 1
S3 0.0000 0.3333 0.5000 1
```

[2]
Starting from a DFT-relaxed cell (GGA-PBE, Alexandria), the X-ray diffraction stick pattern of Cs2K2Ba was simulated for Cu Ka.
Neutral-atom scattering factors, no anomalous dispersion.

Main lines, low angle first (5 to 70 degrees two-theta):
15.15 deg, I 36
18.07 deg, I 34
21.49 deg, I 95
23.66 deg, I 100
28.22 deg, I 54
30.62 deg, I 30
39.66 deg, I 24
41.48 deg, I 33
42.84 deg, I 30
43.27 deg, I 21

Structure:
```
data_Cs2K2Ba
_symmetry_space_group_name_H-M 'P 4/m b m'
_symmetry_Int_Tables_number 127
_symmetry_space_group_name_Hall '-P 4 2ab'
_cell_length_a 13.0745
_cell_length_b 13.0745
_cell_length_c 4.9094
_cell_angle_alpha 90.00
_cell_angle_beta 90.00
_cell_angle_gamma 90.00
loop_
_atom_site_label
_atom_site_fract_x
_atom_site_fract_y
_atom_site_fract_z
_atom_site_occupancy
Cs1 0.1326 0.3674 0.0000 1
K1 0.1718 0.6718 0.5000 1
Ba1 0.0000 0.0000 0.0000 1
```

[3]
Starting from a DFT-relaxed cell (GGA-PBE, Alexandria), the X-ray diffraction stick pattern of CeAl2Pt5 was simulated for Cu Ka.
Neutral-atom scattering factors, no anomalous dispersion.

Main lines, low angle first (5 to 70 degrees two-theta):
15.24 deg, I 14
30.76 deg, I 12
35.19 deg, I 100
44.11 deg, I 23
44.57 deg, I 13
46.25 deg, I 15
46.89 deg, I 8
63.73 deg, I 5
65.82 deg, I 14
67.98 deg, I 5

Structure:
```
data_CeAl2Pt5
_symmetry_space_group_name_H-M 'I m m m'
_symmetry_Int_Tables_number 71
_symmetry_space_group_name_Hall '-I 2 2'
_cell_length_a 3.9262
_cell_length_b 7.1280
_cell_length_c 10.0455
_cell_angle_alpha 90.00
_cell_angle_beta 90.00
_cell_angle_gamma 90.00
loop_
_atom_site_label
_atom_site_fract_x
_atom_site_fract_y
_atom_site_fract_z
_atom_site_occupancy
Ce1 0.0000 0.0000 0.0000 1
Al1 0.0000 0.5000 0.2431 1
Pt1 0.0000 0.2005 0.3574 1
Pt2 0.0000 0.5000 0.0000 1
```